Simulated XRD peak list
Compound: Ta4CdBr
Radiation: Cu Ka
Structure: a crystal structure in Alexandria, relaxed with PBE
Neutral-atom scattering factors, no anomalous dispersion.

Most intense lines, 2θ from 15° to 90°, low angle first:
d (Å), two_theta, I (rel.)
4.580, 19.4, 34
2.805, 31.9, 12
2.392, 37.6, 100
2.290, 39.3, 61
1.983, 45.7, 16
1.820, 50.1, 9
1.619, 56.9, 5
1.527, 60.7, 33
1.402, 66.7, 31
1.341, 70.2, 7
1.210, 79.2, 11
1.196, 80.3, 23

Crystal structure
```
Ta4CdBr
1.0
0.0000 3.9665 3.9665
3.9665 0.0000 3.9665
3.9665 3.9665 0.0000
Ta Cd Br
4 1 1
Direct
0.3770 0.3770 0.3770
0.3770 0.3770 0.8691
0.3770 0.8691 0.3770
0.8691 0.3770 0.3770
0.7500 0.7500 0.7500
0.0000 0.0000 0.0000
```

Simulated XRD peak list
Compound: LiPrInNi
Radiation: Cu Ka
Structure: a crystal structure in Alexandria, relaxed with PBE
Neutral-atom scattering factors, no anomalous dispersion.

Most intense lines, 2θ from 15° to 90°, low angle first:
d (Å), two_theta, I (rel.)
3.929, 22.6, 10
3.402, 26.2, 42
2.406, 37.4, 100
2.052, 44.1, 5
1.964, 46.2, 12
1.701, 53.9, 17
1.561, 59.2, 2
1.522, 60.9, 16
1.389, 67.4, 34
1.310, 72.1, 1
1.203, 79.7, 10
1.134, 85.7, 8

Crystal structure
```
LiPrInNi
1.0
0.0000 3.4022 3.4022
3.4022 0.0000 3.4022
3.4022 3.4022 0.0000
Li Pr In Ni
1 1 1 1
Direct
0.0000 0.0000 0.0000
0.7500 0.7500 0.7500
0.2500 0.2500 0.2500
0.5000 0.5000 0.5000
```

Simulated XRD peak list
Compound: MnAg2Sn3S8
Radiation: Cu Ka
Structure: a crystal structure in Alexandria, relaxed with PBE
Neutral-atom scattering factors, no anomalous dispersion.

Most intense lines, 2θ from 15° to 90°, low angle first:
d (Å), two_theta, I (rel.)
3.797, 23.4, 51
3.271, 27.3, 100
3.258, 27.4, 75
3.233, 27.6, 58
2.699, 33.2, 58
2.208, 40.9, 23
2.085, 43.4, 23
2.078, 43.5, 48
1.919, 47.4, 75
1.898, 47.9, 67
1.349, 69.7, 21
1.104, 88.6, 22

Crystal structure
```
MnAg2Sn3S8
1.0
3.8373 2.2155 6.1680
-3.8373 2.2155 6.1680
0.0000 -4.4310 6.1680
Mn Ag Sn S
1 2 3 8
Direct
0.0000 0.0000 0.0000
0.3877 0.3877 0.3877
0.6123 0.6123 0.6123
0.0000 0.0000 0.5000
0.0000 0.5000 0.0000
0.5000 0.0000 0.0000
0.2163 0.7644 0.7644
0.2356 0.2356 0.7837
0.2356 0.7837 0.2356
0.2457 0.2457 0.2457
0.7543 0.7543 0.7543
0.7644 0.2163 0.7644
0.7644 0.7644 0.2163
0.7837 0.2356 0.2356
```

Simulated XRD peak list
Compound: HfTi5Sb4
Radiation: Cu Ka
Structure: a crystal structure in Alexandria, relaxed with PBE
Neutral-atom scattering factors, no anomalous dispersion.

Most intense lines, 2θ from 15° to 90°, low angle first:
d (Å), two_theta, I (rel.)
3.239, 27.5, 100
3.068, 29.1, 85
2.707, 33.1, 68
2.466, 36.4, 80
2.390, 37.6, 54
2.334, 38.6, 57
2.233, 40.4, 91
2.204, 41.0, 69
1.972, 46.0, 39
1.962, 46.3, 33
1.525, 60.7, 30
1.391, 67.3, 27

Crystal structure
```
HfTi5Sb4
1.0
8.4846 0.0000 0.0000
0.0000 9.8697 0.0000
0.0000 0.0000 5.0094
Hf Ti Sb
2 10 8
Direct
0.2500 0.2500 0.0167
0.7500 0.7500 0.9833
0.0817 0.5088 0.2569
0.0817 0.9912 0.2569
0.2500 0.7500 0.2147
0.4183 0.5088 0.2569
0.4183 0.9912 0.2569
0.5817 0.0088 0.7431
0.5817 0.4912 0.7431
0.7500 0.2500 0.7853
0.9183 0.0088 0.7431
0.9183 0.4912 0.7431
0.0556 0.2500 0.5202
0.2500 0.5562 0.7732
0.2500 0.9438 0.7732
0.4444 0.2500 0.5202
0.5556 0.7500 0.4798
0.7500 0.0562 0.2268
0.7500 0.4438 0.2268
0.9444 0.7500 0.4798
```

Simulated XRD peak list
Compound: Tb6PmSc6
Radiation: Cu Ka
Structure: a crystal structure in Alexandria, relaxed with PBE
Neutral-atom scattering factors, no anomalous dispersion.

Most intense lines, 2θ from 15° to 90°, low angle first:
d (Å), two_theta, I (rel.)
5.349, 16.6, 31
3.357, 26.6, 79
3.159, 28.3, 100
2.971, 30.1, 72
2.844, 31.5, 66
2.720, 32.9, 58
2.674, 33.5, 29
2.513, 35.7, 58
2.364, 38.1, 32
2.225, 40.6, 43
1.774, 51.5, 28
1.553, 59.5, 31

Crystal structure
```
Tb6PmSc6
1.0
3.3571 -5.3696 0.0000
3.3571 5.3696 0.0000
0.0000 0.0000 10.6976
Tb Pm Sc
6 1 6
Direct
0.0000 0.0000 0.1652
0.0000 0.0000 0.8348
0.2851 0.7149 0.0000
0.3522 0.6478 0.5000
0.6478 0.3522 0.5000
0.7149 0.2851 0.0000
0.0000 0.0000 0.5000
0.0000 0.5000 0.2716
0.0000 0.5000 0.7284
0.5000 0.0000 0.2716
0.5000 0.0000 0.7284
0.5000 0.5000 0.2130
0.5000 0.5000 0.7870
```

Simulated XRD peak list
Compound: LiTaAu2
Radiation: Cu Ka
Structure: a crystal structure in Alexandria, relaxed with PBE
Neutral-atom scattering factors, no anomalous dispersion.

Most intense lines, 2θ from 15° to 90°, low angle first:
d (Å), two_theta, I (rel.)
3.631, 24.5, 20
2.792, 32.1, 26
2.738, 32.7, 25
2.420, 37.1, 18
2.324, 38.8, 100
2.292, 39.3, 96
2.114, 42.8, 80
1.815, 50.3, 21
1.592, 57.9, 21
1.377, 68.1, 34
1.262, 75.3, 34
1.247, 76.4, 28

Crystal structure
```
LiTaAu2
1.0
2.9560 0.0000 0.0000
0.0000 3.0242 0.0000
0.0000 0.0000 7.2610
Li Ta Au
1 1 2
Direct
0.0000 0.0000 0.0000
0.0000 0.0000 0.5000
0.5000 0.5000 0.2291
0.5000 0.5000 0.7709
```

Simulated XRD peak list
Compound: Tb4Pr2Nd3
Radiation: Cu Ka
Structure: a crystal structure in Alexandria, relaxed with PBE
Neutral-atom scattering factors, no anomalous dispersion.

Most intense lines, 2θ from 15° to 90°, low angle first:
d (Å), two_theta, I (rel.)
3.211, 27.8, 12
2.996, 29.8, 60
2.982, 30.0, 59
2.952, 30.3, 50
2.862, 31.3, 100
2.434, 36.9, 32
2.426, 37.0, 31
1.875, 48.6, 13
1.834, 49.7, 13
1.824, 50.0, 13
1.686, 54.4, 16
1.680, 54.6, 32

Crystal structure
```
Tb4Pr2Nd3
1.0
8.4195 -5.9043 0.0000
8.4195 5.9043 0.0000
-0.7539 0.0000 6.1289
Tb Pr Nd
8 4 6
Direct
0.0498 0.8294 0.9575
0.1553 0.3802 0.1312
0.1706 0.9502 0.5425
0.3802 0.1553 0.6312
0.6198 0.8447 0.3688
0.8294 0.0498 0.4575
0.8447 0.6198 0.8688
0.9502 0.1706 0.0425
0.2739 0.5104 0.7171
0.4896 0.7261 0.7829
0.5104 0.2739 0.2171
0.7261 0.4896 0.2829
0.0154 0.3121 0.5877
0.3121 0.0154 0.0877
0.3548 0.6452 0.2500
0.6452 0.3548 0.7500
0.6879 0.9846 0.9123
0.9846 0.6879 0.4123
```

Simulated XRD peak list
Compound: Nd2Sn3Pd2
Radiation: Cu Ka
Structure: a crystal structure in Alexandria, relaxed with PBE
Neutral-atom scattering factors, no anomalous dispersion.

Most intense lines, 2θ from 15° to 90°, low angle first:
d (Å), two_theta, I (rel.)
3.036, 29.4, 26
2.860, 31.3, 100
2.788, 32.1, 70
2.493, 36.0, 23
2.418, 37.2, 18
2.285, 39.4, 47
2.226, 40.5, 31
2.076, 43.6, 18
2.029, 44.7, 30
1.685, 54.5, 18
1.594, 57.8, 22
1.395, 67.1, 24

Crystal structure
```
Nd2Sn3Pd2
1.0
2.2852 -9.9716 0.0000
2.2852 9.9716 0.0000
0.0000 0.0000 7.4621
Nd Sn Pd
4 6 4
Direct
0.0448 0.9552 0.7500
0.1616 0.8384 0.2500
0.8384 0.1616 0.7500
0.9552 0.0448 0.2500
0.2165 0.7835 0.7500
0.4305 0.5695 0.5545
0.4305 0.5695 0.9455
0.5695 0.4305 0.0545
0.5695 0.4305 0.4455
0.7835 0.2165 0.2500
0.2988 0.7012 0.0474
0.2988 0.7012 0.4526
0.7012 0.2988 0.5474
0.7012 0.2988 0.9526
```